Entry 1:
The following is a simulated XRD peak list of Li2Sm2In3. It was derived from a DFT-relaxed cell (PBE, Alexandria), using Cu Kα (weighted mean of Kα1 and Kα2).

Structure:
```
data_Li2Sm2In3
_chemical_formula_sum 'Li4 Sm4 In6'
_cell_length_a 10.451
_cell_length_b 10.451
_cell_length_c 7.561
_cell_angle_alpha 90.00
_cell_angle_beta 90.00
_cell_angle_gamma 154.76
_symmetry_space_group_name_H-M 'P 1'
_symmetry_Int_Tables_number 1
loop_
_symmetry_equiv_pos_as_xyz
'x,y,z'
loop_
_atom_site_label
_atom_site_fract_x
_atom_site_fract_y
_atom_site_fract_z
Li1 0.192 0.808 0.559
Li2 0.192 0.808 0.941
Li3 0.808 0.192 0.059
Li4 0.808 0.192 0.441
Sm1 0.343 0.657 0.750
Sm2 0.450 0.550 0.250
Sm3 0.550 0.450 0.750
Sm4 0.657 0.343 0.250
In1 0.066 0.934 0.059
In2 0.066 0.934 0.441
In3 0.278 0.722 0.250
In4 0.722 0.278 0.750
In5 0.934 0.066 0.559
In6 0.934 0.066 0.941
```

Main lines, by intensity (2θ from 10° to 90°):
31.70°, I 100
31.02°, I 87
23.50°, I 33
39.46°, I 30
39.90°, I 21
28.79°, I 20
44.76°, I 17
69.40°, I 17
29.36°, I 16
57.37°, I 16

Entry 2:
The following is a simulated XRD peak list of LiSm3In4Te8. It was derived from a DFT-relaxed cell (PBE, Alexandria), using Cu Kα (weighted mean of Kα1 and Kα2).

Structure:
```
data_LiSm3In4Te8
_chemical_formula_sum 'Li1 Sm3 In4 Te8'
_cell_length_a 9.279
_cell_length_b 9.279
_cell_length_c 9.279
_cell_angle_alpha 57.39
_cell_angle_beta 57.39
_cell_angle_gamma 57.39
_symmetry_space_group_name_H-M 'P 1'
_symmetry_Int_Tables_number 1
loop_
_symmetry_equiv_pos_as_xyz
'x,y,z'
loop_
_atom_site_label
_atom_site_fract_x
_atom_site_fract_y
_atom_site_fract_z
Li1 0.000 0.000 0.000
Sm1 0.000 0.500 0.500
Sm2 0.500 0.000 0.500
Sm3 0.500 0.500 0.000
In1 0.000 0.000 0.500
In2 0.000 0.500 0.000
In3 0.500 0.000 0.000
In4 0.500 0.500 0.500
Te1 0.248 0.248 0.741
Te2 0.248 0.741 0.248
Te3 0.255 0.255 0.255
Te4 0.259 0.752 0.752
Te5 0.741 0.248 0.248
Te6 0.745 0.745 0.745
Te7 0.752 0.259 0.752
Te8 0.752 0.752 0.259
```

Main lines, by intensity (2θ from 10° to 90°):
27.78°, I 100
38.88°, I 40
40.49°, I 37
49.82°, I 20
63.80°, I 18
66.06°, I 17
57.39°, I 13
72.58°, I 12
47.07°, I 7
69.32°, I 7

Entry 3:
The following is a simulated XRD peak list of LiIn3Sn3. It was derived from a DFT-relaxed cell (PBE, Alexandria), using Cu Kα (weighted mean of Kα1 and Kα2).

Structure:
```
data_LiIn3Sn3
_chemical_formula_sum 'Li2 In6 Sn6'
_cell_length_a 12.605
_cell_length_b 12.605
_cell_length_c 3.169
_cell_angle_alpha 90.00
_cell_angle_beta 90.00
_cell_angle_gamma 120.00
_symmetry_space_group_name_H-M 'P 1'
_symmetry_Int_Tables_number 1
loop_
_symmetry_equiv_pos_as_xyz
'x,y,z'
loop_
_atom_site_label
_atom_site_fract_x
_atom_site_fract_y
_atom_site_fract_z
Li1 0.333 0.667 0.250
Li2 0.667 0.333 0.750
In1 0.003 0.786 0.750
In2 0.214 0.216 0.750
In3 0.216 0.003 0.250
In4 0.784 0.997 0.750
In5 0.786 0.784 0.250
In6 0.997 0.214 0.250
Sn1 0.094 0.479 0.250
Sn2 0.385 0.906 0.250
Sn3 0.479 0.385 0.750
Sn4 0.521 0.615 0.250
Sn5 0.615 0.094 0.750
Sn6 0.906 0.521 0.750
```

Main lines, by intensity (2θ from 10° to 90°):
21.54°, I 100
31.60°, I 77
37.76°, I 71
35.72°, I 43
40.36°, I 42
52.25°, I 36
41.24°, I 29
14.05°, I 28
66.90°, I 25
68.72°, I 24

Entry 4:
The following is a simulated XRD peak list of Li6InSn5. It was derived from a DFT-relaxed cell (PBE, Alexandria), using Cu Kα (weighted mean of Kα1 and Kα2).

Structure:
```
data_Li6InSn5
_chemical_formula_sum 'Li6 In1 Sn5'
_cell_length_a 4.896
_cell_length_b 6.733
_cell_length_c 8.421
_cell_angle_alpha 112.80
_cell_angle_beta 106.41
_cell_angle_gamma 91.28
_symmetry_space_group_name_H-M 'P 1'
_symmetry_Int_Tables_number 1
loop_
_symmetry_equiv_pos_as_xyz
'x,y,z'
loop_
_atom_site_label
_atom_site_fract_x
_atom_site_fract_y
_atom_site_fract_z
Li1 0.001 0.250 0.001
Li2 0.332 0.082 0.665
Li3 0.333 0.583 0.665
Li4 0.667 0.417 0.335
Li5 0.668 0.918 0.335
Li6 0.999 0.750 0.999
In1 0.500 0.000 0.000
Sn1 0.165 0.666 0.331
Sn2 0.166 0.164 0.330
Sn3 0.500 0.500 0.000
Sn4 0.834 0.836 0.670
Sn5 0.835 0.334 0.669
```

Main lines, by intensity (2θ from 10° to 90°):
25.70°, I 100
26.48°, I 46
36.60°, I 24
36.72°, I 24
36.83°, I 24
37.02°, I 23
37.46°, I 22
37.62°, I 22
52.81°, I 17
59.73°, I 15

Entry 5:
The following is a simulated XRD peak list of LiInSn. It was derived from a DFT-relaxed cell (PBE, Alexandria), using Cu Kα (weighted mean of Kα1 and Kα2).

Structure:
```
data_LiInSn
_chemical_formula_sum 'Li4 In4 Sn4'
_cell_length_a 5.466
_cell_length_b 9.591
_cell_length_c 5.921
_cell_angle_alpha 90.00
_cell_angle_beta 114.75
_cell_angle_gamma 90.00
_symmetry_space_group_name_H-M 'P 1'
_symmetry_Int_Tables_number 1
loop_
_symmetry_equiv_pos_as_xyz
'x,y,z'
loop_
_atom_site_label
_atom_site_fract_x
_atom_site_fract_y
_atom_site_fract_z
Li1 0.000 0.106 0.250
Li2 0.000 0.894 0.750
Li3 0.500 0.394 0.750
Li4 0.500 0.606 0.250
In1 0.000 0.227 0.750
In2 0.000 0.773 0.250
In3 0.500 0.273 0.250
In4 0.500 0.727 0.750
Sn1 0.000 0.437 0.250
Sn2 0.000 0.563 0.750
Sn3 0.500 0.063 0.750
Sn4 0.500 0.937 0.250
```

Main lines, by intensity (2θ from 10° to 90°):
33.73°, I 100
33.33°, I 81
40.79°, I 59
20.14°, I 59
24.88°, I 58
36.19°, I 49
37.65°, I 44
54.72°, I 32
20.77°, I 30
60.42°, I 23

Entry 6:
The following is a simulated XRD peak list of Li4In4Sn. It was derived from a DFT-relaxed cell (PBE, Alexandria), using Cu Kα (weighted mean of Kα1 and Kα2).

Structure:
```
data_Li4In4Sn
_chemical_formula_sum 'Li4 In4 Sn1'
_cell_length_a 7.057
_cell_length_b 7.057
_cell_length_c 7.057
_cell_angle_alpha 95.32
_cell_angle_beta 95.32
_cell_angle_gamma 144.54
_symmetry_space_group_name_H-M 'P 1'
_symmetry_Int_Tables_number 1
loop_
_symmetry_equiv_pos_as_xyz
'x,y,z'
loop_
_atom_site_label
_atom_site_fract_x
_atom_site_fract_y
_atom_site_fract_z
Li1 0.165 0.165 0.330
Li2 0.165 0.835 0.000
Li3 0.835 0.165 0.000
Li4 0.835 0.835 0.670
In1 0.172 0.500 0.672
In2 0.500 0.172 0.672
In3 0.500 0.828 0.328
In4 0.828 0.500 0.328
Sn1 0.500 0.500 0.000
```

Main lines, by intensity (2θ from 10° to 90°):
35.19°, I 100
22.70°, I 45
40.25°, I 34
18.67°, I 30
69.89°, I 26
29.72°, I 23
59.61°, I 21
40.12°, I 17
42.04°, I 15
52.64°, I 14

Entry 7:
The following is a simulated XRD peak list of Li4In3Sn. It was derived from a DFT-relaxed cell (PBE, Alexandria), using Cu Kα (weighted mean of Kα1 and Kα2).

Structure:
```
data_Li4In3Sn
_chemical_formula_sum 'Li8 In6 Sn2'
_cell_length_a 9.933
_cell_length_b 6.284
_cell_length_c 5.185
_cell_angle_alpha 90.00
_cell_angle_beta 90.00
_cell_angle_gamma 90.00
_symmetry_space_group_name_H-M 'P 1'
_symmetry_Int_Tables_number 1
loop_
_symmetry_equiv_pos_as_xyz
'x,y,z'
loop_
_atom_site_label
_atom_site_fract_x
_atom_site_fract_y
_atom_site_fract_z
Li1 0.000 0.249 0.000
Li2 0.000 0.751 0.000
Li3 0.250 0.248 0.356
Li4 0.250 0.752 0.356
Li5 0.500 0.249 0.000
Li6 0.500 0.751 0.000
Li7 0.750 0.248 0.644
Li8 0.750 0.752 0.644
In1 0.000 0.500 0.500
In2 0.250 0.000 0.866
In3 0.250 0.500 0.870
In4 0.500 0.500 0.500
In5 0.750 0.000 0.134
In6 0.750 0.500 0.130
Sn1 0.000 0.000 0.500
Sn2 0.500 0.000 0.500
```

Main lines, by intensity (2θ from 10° to 90°):
24.82°, I 100
38.07°, I 78
28.40°, I 51
19.31°, I 34
36.17°, I 32
34.58°, I 27
46.62°, I 26
66.32°, I 19
49.11°, I 16
35.80°, I 16

Entry 8:
The following is a simulated XRD peak list of Li4In4Sn5. It was derived from a DFT-relaxed cell (PBE, Alexandria), using Cu Kα (weighted mean of Kα1 and Kα2).

Structure:
```
data_Li4In4Sn5
_chemical_formula_sum 'Li4 In4 Sn5'
_cell_length_a 8.659
_cell_length_b 8.659
_cell_length_c 8.659
_cell_angle_alpha 93.91
_cell_angle_beta 93.91
_cell_angle_gamma 149.71
_symmetry_space_group_name_H-M 'P 1'
_symmetry_Int_Tables_number 1
loop_
_symmetry_equiv_pos_as_xyz
'x,y,z'
loop_
_atom_site_label
_atom_site_fract_x
_atom_site_fract_y
_atom_site_fract_z
Li1 0.079 0.370 0.449
Li2 0.370 0.921 0.291
Li3 0.630 0.079 0.709
Li4 0.921 0.630 0.551
In1 0.153 0.757 0.911
In2 0.243 0.153 0.396
In3 0.757 0.847 0.604
In4 0.847 0.243 0.089
Sn1 0.000 0.000 0.000
Sn2 0.295 0.531 0.826
Sn3 0.469 0.295 0.764
Sn4 0.531 0.705 0.236
Sn5 0.705 0.469 0.174
```

Main lines, by intensity (2θ from 10° to 90°):
33.77°, I 100
10.58°, I 37
38.85°, I 31
25.92°, I 25
67.11°, I 22
56.87°, I 20
39.85°, I 15
68.49°, I 13
30.24°, I 10
56.11°, I 10